Theoretical X-ray diffraction stick pattern
Compound: RbCaSnCl5
Radiation: Cu Kα X-rays
Structure: a structure optimized by DFT (GGA-PBE)
Intensities are scaled so that the largest is 100.

```
data_RbCaSnCl5
_chemical_formula_sum 'Rb4 Ca4 Sn4 Cl20'
_space_group_name_H-M_alt 'C 1 2/c 1'
_space_group_IT_number 15
_space_group_name_Hall '-C 2yc'
_cell_length_a 10.187
_cell_length_b 11.618
_cell_length_c 10.481
_cell_angle_alpha 90.00
_cell_angle_beta 114.82
_cell_angle_gamma 90.00
loop_
_atom_site_label
_atom_site_type_symbol
_atom_site_fract_x
_atom_site_fract_y
_atom_site_fract_z
Rb1 Rb 0.000 0.076 0.250
Ca1 Ca 0.250 0.250 0.000
Sn1 Sn 0.000 0.492 0.250
Cl1 Cl 0.000 0.227 0.750
Cl2 Cl 0.051 0.330 0.099
Cl3 Cl 0.206 0.031 0.069
```

Principal peaks in the range 2θ from 5° to 70°, low angle first:
2θ/deg, intensity, hkl
15.25, 43, 0 2 0
17.67, 68, 1 1 1
18.66, 60, 0 0 2
19.20, 73, 2 0 0
20.41, 92, 2 0 -2
24.18, 45, 0 2 2
28.72, 69, 1 3 -2
32.18, 100, 2 0 2
37.83, 52, 2 2 -4
38.73, 61, 4 2 -2